No. 1
TmAs2: calculated XRD peak list (Cu Kα X-rays), based on a PBE-relaxed structure.
No peak broadening, texture or thermal motion is included.

Structural model:
Unit cell a=3.854 b=3.854 c=17.432 alpha=90.00 beta=90.00 gamma=90.00
Space group I4/mmm (No. 139)
Unique sites:
1 Tm 0.000 0.000 0.136 (multiplicity 4)
2 As 0.000 0.000 0.307 (multiplicity 4)
3 As 0.000 0.500 0.000 (multiplicity 4)

Peak list (8 most intense, 10° ≤ 2θ ≤ 90°, sorted by position)
h k l, 2θ/deg, Rel. int.
1 0 1, 23.64, 47
1 1 0, 32.86, 43
1 1 2, 34.48, 69
1 0 5, 34.69, 55
1 1 4, 38.98, 100
1 0 7, 43.25, 61
2 0 0, 47.16, 58
2 1 7, 65.90, 35

=====

No. 2
Y5TmAs6: calculated XRD peak list (Cu Kα X-rays), based on a PBE-relaxed structure.
No peak broadening, texture or thermal motion is included.

Structural model:
Unit cell a=7.128 b=12.341 c=7.124 alpha=90.00 beta=109.47 gamma=90.00
Space group C2/m (No. 12)
Unique sites:
1 Y 0.000 0.000 0.000 (multiplicity 2)
2 Y 0.000 0.167 0.500 (multiplicity 4)
3 Y 0.000 0.333 0.000 (multiplicity 4)
4 Tm 0.000 0.500 0.500 (multiplicity 2)
5 As 0.248 0.334 0.748 (multiplicity 8)
6 As 0.248 0.500 0.251 (multiplicity 4)

Peak list (8 most intense, 10° ≤ 2θ ≤ 90°, sorted by position)
h k l, 2θ/deg, Rel. int.
2 0 0, 26.54, 4
1 3 1, 30.73, 100
2 0 2, 44.02, 73
3 3 1, 52.14, 2
4 0 0, 54.65, 26
2 6 2, 64.01, 12
4 6 0, 72.68, 32
5 3 1, 80.95, 24

=====

No. 3
TmZr2As4: calculated XRD peak list (Cu Kα X-rays), based on a PBE-relaxed structure.
No peak broadening, texture or thermal motion is included.

Structural model:
Unit cell a=3.870 b=12.874 c=12.739 alpha=90.00 beta=90.00 gamma=90.00
Space group Cmcm (No. 63)
Unique sites:
1 Tm 0.000 0.108 0.250 (multiplicity 4)
2 Zr 0.000 0.365 0.057 (multiplicity 8)
3 As 0.000 0.000 0.000 (multiplicity 4)
4 As 0.000 0.264 0.633 (multiplicity 8)
5 As 0.000 0.445 0.250 (multiplicity 4)

Peak list (8 most intense, 10° ≤ 2θ ≤ 90°, sorted by position)
h k l, 2θ/deg, Rel. int.
0 2 3, 25.11, 54
0 2 4, 31.34, 40
1 3 1, 31.92, 100
1 3 2, 34.23, 59
1 1 5, 43.09, 53
1 5 2, 44.59, 38
2 0 0, 46.96, 28
0 6 3, 47.49, 37

=====

No. 4
U5As3: calculated XRD peak list (Cu Kα X-rays), based on a PBE-relaxed structure.
No peak broadening, texture or thermal motion is included.

Structural model:
Unit cell a=5.655 b=15.060 c=16.004 alpha=90.00 beta=90.00 gamma=90.00
Space group Fddd (No. 70, origin choice 2)
Unique sites:
1 U 0.073 0.021 0.295 (multiplicity 32)
2 U 0.125 0.125 0.625 (multiplicity 8)
3 As 0.125 0.125 0.125 (multiplicity 8)
4 As 0.125 0.125 0.447 (multiplicity 16)

Peak list (8 most intense, 10° ≤ 2θ ≤ 90°, sorted by position)
h k l, 2θ/deg, Rel. int.
1 1 3, 23.67, 100
0 4 4, 32.67, 38
2 2 0, 33.86, 33
1 5 1, 34.19, 28
0 2 6, 35.72, 60
1 3 -5, 36.90, 29
1 5 3, 37.81, 43
2 0 6, 46.82, 44

=====

No. 5
U4As3: calculated XRD peak list (Cu Kα X-rays), based on a PBE-relaxed structure.
No peak broadening, texture or thermal motion is included.

Structural model:
Unit cell a=8.558 b=8.558 c=8.558 alpha=90.00 beta=90.00 gamma=90.00
Space group I-43d (No. 220)
Unique sites:
1 U 0.077 0.423 0.577 (multiplicity 16)
2 As 0.000 0.250 0.875 (multiplicity 12)

Peak list (8 most intense, 10° ≤ 2θ ≤ 90°, sorted by position)
h k l, 2θ/deg, Rel. int.
2 1 1, 25.50, 42
3 1 0, 33.10, 100
3 2 1, 39.40, 85
4 2 2, 52.38, 33
4 3 1, 54.69, 37
6 1 1, 67.46, 27
6 2 0, 69.46, 15
5 4 1, 71.44, 18

=====

No. 6
UAs4: calculated XRD peak list (Cu Kα X-rays), based on a PBE-relaxed structure.
No peak broadening, texture or thermal motion is included.

Structural model:
Unit cell a=5.306 b=5.306 c=5.306 alpha=90.00 beta=90.00 gamma=90.00
Space group Pm-3m (No. 221)
Unique sites:
1 U 0.000 0.000 0.000 (multiplicity 1)
2 As 0.000 0.000 0.500 (multiplicity 3)
3 As 0.500 0.500 0.500 (multiplicity 1)

Peak list (8 most intense, 10° ≤ 2θ ≤ 90°, sorted by position)
h k l, 2θ/deg, Rel. int.
1 0 0, 16.71, 96
1 1 0, 23.72, 86
2 0 0, 33.79, 100
2 1 0, 37.92, 53
2 1 1, 41.70, 41
2 2 0, 48.53, 72
3 0 0, 51.69, 28
4 2 0, 81.05, 33

=====

No. 7
Y3U5As8: calculated XRD peak list (Cu Kα X-rays), based on a PBE-relaxed structure.
No peak broadening, texture or thermal motion is included.

Structural model:
Unit cell a=8.1613 b=8.1613 c=20.2581 alpha=90.00 beta=90.00 gamma=120.00
Space group R-3m (No. 166, hexagonal axes)
Unique sites:
1 Y 0.0000 0.5000 0.0000 (multiplicity 9)
2 U 0.0000 0.0000 0.0000 (multiplicity 3)
3 U 0.0000 0.0000 0.5000 (multiplicity 3)
4 U 0.0000 0.5000 0.5000 (multiplicity 9)
5 As 0.0000 0.0000 0.2489 (multiplicity 6)
6 As 0.0008 0.5004 0.7502 (multiplicity 18)

Peak list (8 most intense, 10° ≤ 2θ ≤ 90°, sorted by position)
h k l, 2θ/deg, Rel. int.
2 0 2, 26.72, 21
0 2 4, 30.85, 100
2 0 8, 43.99, 38
2 2 0, 44.40, 37
4 0 4, 55.04, 20
2 2 12, 72.70, 18
2 4 4, 73.30, 17
4 2 8, 81.47, 13

=====

No. 8
YU2As3: calculated XRD peak list (Cu Kα X-rays), based on a PBE-relaxed structure.
No peak broadening, texture or thermal motion is included.

Structural model:
Unit cell a=5.793 b=12.307 c=8.178 alpha=90.00 beta=90.06 gamma=90.00
Space group P2_1/c (No. 14)
Unique sites:
1 Y 0.250 0.083 0.124 (multiplicity 4)
2 U 0.249 0.084 0.624 (multiplicity 4)
3 U 0.251 0.749 0.625 (multiplicity 4)
4 As 0.249 0.249 0.874 (multiplicity 4)
5 As 0.250 0.584 0.373 (multiplicity 4)
6 As 0.251 0.584 0.875 (multiplicity 4)

Peak list (8 most intense, 10° ≤ 2θ ≤ 90°, sorted by position)
h k l, 2θ/deg, Rel. int.
1 3 0, 26.66, 30
2 0 0, 30.88, 100
2 3 2, 44.21, 63
0 0 4, 44.31, 13
3 3 0, 52.38, 13
2 6 0, 54.88, 20
4 3 2, 73.05, 23
4 6 0, 81.30, 13